This entry pairs a crystal structure of Na2NiPCO7 with its theoretical powder X-ray diffraction pattern. Radiation: Cu Kα X-rays. Structure: a DFT-relaxed cell (PBE+U, the Materials Project).
Lines closer than 0.1° are merged.

Structure:
```
Na2NiPCO7
1.0
8.366 0.000 0.000
-2.087 8.137 0.000
-0.084 -0.214 8.871
Na Ni P C O
8 4 4 4 28
Cartesian
0.000 0.000 0.000
-1.067 4.043 4.632
0.355 6.201 0.127
1.495 2.090 4.572
3.099 4.077 0.130
4.371 6.132 4.740
5.550 2.186 0.001
6.679 0.860 3.135
-0.970 6.945 5.430
0.204 3.032 8.149
4.232 2.862 5.434
3.315 7.122 8.117
2.639 0.793 7.462
1.785 5.132 6.117
5.755 4.862 7.483
7.057 1.123 6.072
0.019 2.907 1.711
-0.769 7.272 3.017
3.211 7.013 1.689
4.444 3.233 3.016
-1.468 6.322 3.574
-0.313 2.292 6.409
-0.090 2.739 2.961
-0.728 7.440 1.774
-0.404 7.728 7.139
0.735 3.840 1.170
-0.166 8.022 3.880
0.568 5.587 5.301
1.861 1.785 8.362
1.361 4.522 7.476
3.087 1.432 6.142
2.565 4.129 5.241
3.817 0.288 8.320
2.574 6.242 0.867
3.742 2.286 3.551
2.733 6.328 6.446
3.220 6.912 2.935
4.579 3.369 1.776
4.814 3.645 7.165
3.898 7.970 1.100
5.030 3.994 3.898
5.943 1.733 5.196
4.982 5.882 8.345
6.563 0.508 7.391
6.197 5.487 6.138
7.784 0.092 5.170
6.946 4.355 8.320
7.768 2.135 0.858
```

Largest 10 diffraction maxima, by angle, 2θ from 10° to 90°:
| 2θ (°) | I_rel | (hkl) |
| --- | --- | --- |
| 16.6 | 35 | 1 -1 1 |
| 16.8 | 35 | -1 1 1 |
| 20.2 | 33 | 1 1 1 |
| 21.9 | 39 | 2 0 0 |
| 26.2 | 48 | 1 1 -2 |
| 26.9 | 100 | 2 -2 0 |
| 33.7 | 38 | -3 1 1 |
| 33.9 | 52 | -1 3 1 |
| 34.9 | 52 | 2 2 0 |
| 55.5 | 28 | 4 -4 0 |